Record 1
For TmPa2Pd9, a structure optimized by DFT (GGA-PBE) gives the theoretical powder X-ray diffraction pattern in this record (a wavelength of 1.5418 Å).
Intensities are scaled so that the largest is 100.

Atomic structure:
Unit cell a=4.142 b=4.142 c=12.383 alpha=90.00 beta=90.00 gamma=90.00
Sites, in units of the cell vectors:
Tm1 0.000 0.000 0.000
Pa1 0.000 0.000 0.330
Pa2 0.000 0.000 0.670
Pd1 0.000 0.500 0.167
Pd2 0.000 0.500 0.500
Pd3 0.000 0.500 0.833
Pd4 0.500 0.000 0.167
Pd5 0.500 0.000 0.500
Pd6 0.500 0.000 0.833
Pd7 0.500 0.500 0.000
Pd8 0.500 0.500 0.333
Pd9 0.500 0.500 0.667

The 6 most intense peaks (2θ from 10° to 80°), by angle:
two_theta  I (rel.)
37.66  100.0
43.71  32.9
43.87  16.2
63.65  21.3
76.26  25.2
76.50  12.4

Record 2
For TmPaPd, a structure optimized by DFT (GGA-PBE) gives the theoretical powder X-ray diffraction pattern in this record (a wavelength of 1.5418 Å).
Intensities are scaled so that the largest is 100.

Atomic structure:
Unit cell a=6.234 b=6.234 c=6.234 alpha=147.06 beta=147.06 gamma=47.27
Sites, in units of the cell vectors:
Tm1 0.000 0.000 0.000
Pa1 0.702 0.702 0.000
Pd1 0.338 0.338 0.000

The 6 most intense peaks (2θ from 10° to 80°), by angle:
two_theta  I (rel.)
26.40  14.7
34.63  100.0
35.93  50.1
51.73  17.9
61.20  14.1
63.75  34.6

Record 3
For YPaPd4, a structure optimized by DFT (GGA-PBE) gives the theoretical powder X-ray diffraction pattern in this record (a wavelength of 1.5418 Å).
Intensities are scaled so that the largest is 100.

Atomic structure:
Unit cell a=10.267 b=10.267 c=5.741 alpha=90.00 beta=90.00 gamma=156.71
Sites, in units of the cell vectors:
Y1 0.226 0.774 0.750
Y2 0.774 0.226 0.250
Pa1 0.080 0.920 0.250
Pa2 0.920 0.080 0.750
Pd1 0.070 0.930 0.750
Pd2 0.355 0.645 0.008
Pd3 0.355 0.645 0.492
Pd4 0.500 0.500 0.000
Pd5 0.500 0.500 0.500
Pd6 0.645 0.355 0.508
Pd7 0.645 0.355 0.992
Pd8 0.930 0.070 0.250

The 6 most intense peaks (2θ from 10° to 80°), by angle:
two_theta  I (rel.)
29.74  27.5
38.11  88.0
38.41  100.0
41.42  53.4
43.67  32.2
61.75  32.4

Record 4
For YPaPd14, a structure optimized by DFT (GGA-PBE) gives the theoretical powder X-ray diffraction pattern in this record (a wavelength of 1.5418 Å).
Intensities are scaled so that the largest is 100.

Atomic structure:
Unit cell a=5.819 b=5.819 c=7.839 alpha=90.00 beta=90.00 gamma=90.00
Sites, in units of the cell vectors:
Y1 0.000 0.000 0.000
Pa1 0.500 0.500 0.000
Pd1 0.000 0.000 0.500
Pd2 0.000 0.500 0.000
Pd3 0.000 0.500 0.500
Pd4 0.254 0.254 0.255
Pd5 0.254 0.254 0.745
Pd6 0.254 0.746 0.255
Pd7 0.254 0.746 0.745
Pd8 0.500 0.000 0.000
Pd9 0.500 0.000 0.500
Pd10 0.500 0.500 0.500
Pd11 0.746 0.254 0.255
Pd12 0.746 0.254 0.745
Pd13 0.746 0.746 0.255
Pd14 0.746 0.746 0.745

The 6 most intense peaks (2θ from 10° to 80°), by angle:
two_theta  I (rel.)
38.54  100.0
44.01  34.2
46.33  14.7
64.00  11.0
65.82  20.1
77.25  25.2

Record 5
For Pa2ZnPd5, a structure optimized by DFT (GGA-PBE) gives the theoretical powder X-ray diffraction pattern in this record (a wavelength of 1.5418 Å).
Intensities are scaled so that the largest is 100.

Atomic structure:
Unit cell a=8.116 b=8.116 c=13.607 alpha=90.00 beta=90.00 gamma=158.62
Sites, in units of the cell vectors:
Pa1 0.104 0.896 0.562
Pa2 0.104 0.896 0.938
Pa3 0.896 0.104 0.062
Pa4 0.896 0.104 0.438
Zn1 0.179 0.821 0.250
Zn2 0.821 0.179 0.750
Pd1 0.053 0.947 0.131
Pd2 0.053 0.947 0.369
Pd3 0.178 0.822 0.750
Pd4 0.244 0.756 0.085
Pd5 0.244 0.756 0.415
Pd6 0.756 0.244 0.585
Pd7 0.756 0.244 0.915
Pd8 0.822 0.178 0.250
Pd9 0.947 0.053 0.631
Pd10 0.947 0.053 0.869

The 6 most intense peaks (2θ from 10° to 80°), by angle:
two_theta  I (rel.)
13.01  43.0
30.20  100.0
34.84  52.3
36.28  34.7
39.73  79.3
48.21  55.5

Record 6
For Pa2Zn2Pd7, a structure optimized by DFT (GGA-PBE) gives the theoretical powder X-ray diffraction pattern in this record (a wavelength of 1.5418 Å).
Intensities are scaled so that the largest is 100.

Atomic structure:
Unit cell a=7.659 b=7.659 c=7.659 alpha=152.12 beta=107.12 gamma=79.73
Sites, in units of the cell vectors:
Pa1 0.217 0.000 0.217
Pa2 0.783 0.000 0.783
Zn1 0.331 0.831 0.500
Zn2 0.669 0.169 0.500
Pd1 0.115 0.615 0.500
Pd2 0.128 0.324 0.804
Pd3 0.480 0.676 0.804
Pd4 0.500 0.500 0.000
Pd5 0.520 0.324 0.196
Pd6 0.872 0.676 0.196
Pd7 0.885 0.385 0.500

The 6 most intense peaks (2θ from 10° to 80°), by angle:
two_theta  I (rel.)
32.14  46.6
33.35  55.5
37.50  36.6
38.42  52.5
38.93  100.0
39.61  32.9